# Cu6PS5Br
Computed powder diffraction line list, Cu Kα (weighted mean of Kα1 and Kα2). Input: DFT lattice parameters and positions (PBE).
Intensities are scaled so that the largest is 100.

Largest 10 diffraction maxima, by intensity, 15° ≤ 2θ ≤ 90°:
hkl 2 2 -2, 2θ = 32.05°, I = 100.0; hkl 3 1 -2, 2θ = 27.28°, I = 56.1; hkl 0 0 4, 2θ = 31.79°, I = 53.6; hkl 2 2 -6, 2θ = 53.31°, I = 40.2; hkl 3 3 1, 2θ = 48.88°, I = 39.9; hkl 2 2 2, 2θ = 37.10°, I = 35.6; hkl 3 1 2, 2θ = 35.53°, I = 18.5; hkl 6 0 -4, 2θ = 48.99°, I = 15.6; hkl 2 0 -4, 2θ = 30.47°, I = 15.4; hkl 6 2 -2, 2θ = 53.69°, I = 14.2

Structure:
```
data_Cu6PS5Br
_cell_length_a 11.8200
_cell_length_b 6.8436
_cell_length_c 11.9298
_cell_angle_alpha 90.00
_cell_angle_beta 109.31
_cell_angle_gamma 90.00
_space_group_name_H-M_alt 'C 1 c 1'
_space_group_IT_number 9
loop_
_space_group_symop_operation_xyz
'x,y,z'
'x,-y,z+1/2'
'x+1/2,y+1/2,z'
'x+1/2,-y+1/2,z+1/2'
loop_
_atom_site_label
_atom_site_type_symbol
_atom_site_fract_x
_atom_site_fract_y
_atom_site_fract_z
Cu1 Cu 0.0000 0.0182 0.0000
Cu2 Cu 0.1616 0.0492 0.7259
Cu3 Cu 0.2111 0.2666 0.9947
Cu4 Cu 0.2823 0.4243 0.2229
Cu5 Cu 0.4831 0.1494 0.7248
Cu6 Cu 0.4850 0.0333 0.5050
P1 P 0.2289 0.2506 0.4875
S1 S 0.0430 0.2661 0.4243
S2 S 0.1105 0.2472 0.1263
S3 S 0.2828 0.0028 0.9242
S4 S 0.2896 0.2531 0.6726
S5 S 0.2966 0.4877 0.4218
Br1 Br 0.4804 0.2466 0.2391
```